V2Ag6As2O13: simulated X-ray diffraction stick pattern (copper Kα), based on a GGA+U-relaxed structure.
Lines closer than 0.1° are merged.

Cell and atoms:
```
data_V2Ag6As2O13
_cell_length_a 19.1036
_cell_length_b 5.5391
_cell_length_c 13.1225
_cell_angle_alpha 90.00
_cell_angle_beta 111.43
_cell_angle_gamma 90.00
_symmetry_space_group_name_H-M 'C 1 2/c 1'
_symmetry_Int_Tables_number 15
_symmetry_space_group_name_Hall '-C 2yc'
loop_
_atom_site_label
_atom_site_fract_x
_atom_site_fract_y
_atom_site_fract_z
_atom_site_occupancy
V1 0.0909 0.0459 0.2666 1
Ag1 0.0012 0.4676 0.8881 1
Ag2 0.2002 0.4656 0.9525 1
Ag3 0.2080 0.4896 0.6972 1
As1 0.1209 0.0068 0.5347 1
O1 0.0000 0.1078 0.7500 1
O2 0.0673 0.0850 0.6113 1
O3 0.0898 0.1715 0.4134 1
O4 0.1024 0.3363 0.2310 1
O5 0.1150 0.3011 0.0110 1
O6 0.1737 0.1019 0.8199 1
O7 0.2123 0.1017 0.6067 1
```

Most intense lines, 10° ≤ 2θ ≤ 90°, sorted by position:
d_spacing  2θ/deg  I_rel  (hkl)
2.993  29.85  100  5 1 0
2.779  32.22  80  1 1 -4
2.770  32.32  44  0 2 0
2.669  33.57  33  6 0 -4
2.233  40.40  15  7 1 -4
2.174  41.55  16  4 0 4
1.922  47.29  23  6 2 -4
1.639  56.12  17  5 3 0
1.634  56.29  13  11 1 -4
1.601  57.58  13  1 3 -4